Entry 1:
The following is a theoretical powder diffraction line list of NaN2F7. It was derived from a structure optimized by DFT (PBE), using a wavelength of 1.5418 Å.
Neutral-atom scattering factors, no anomalous dispersion.

Top 10 peaks for 2θ from 15° to 90°, low angle first:
15.5°, I 100; 22.7°, I 39; 26.5°, I 36; 28.0°, I 23; 28.1°, I 23; 36.3°, I 27; 36.4°, I 27; 40.5°, I 34; 42.7°, I 22; 46.3°, I 38

Structure:
```
NaN2F7
1.0
6.3553 0.0000 0.0000
0.0000 3.9242 0.0000
-2.8370 0.0000 5.7311
Na N F
1 2 7
Cartesian
0.0000 0.0000 0.0000 Na
-0.9070 1.9621 4.5295 N
4.4253 1.9621 1.2016 N
-0.6138 1.9621 1.6706 F
-0.7803 0.0000 4.4556 F
1.7374 1.9621 0.1863 F
1.7592 1.9621 2.8655 F
1.7809 1.9621 5.5448 F
4.2986 0.0000 1.2755 F
4.1321 1.9621 4.0605 F
```

=====

Entry 2:
The following is a theoretical powder diffraction line list of NaS2NO4F2. It was derived from a structure optimized by DFT (PBE), using a wavelength of 1.5418 Å.
Neutral-atom scattering factors, no anomalous dispersion.

Top 10 peaks for 2θ from 15° to 90°, low angle first:
15.5°, I 49; 19.1°, I 76; 20.4°, I 73; 21.7°, I 20; 22.4°, I 85; 26.3°, I 80; 28.0°, I 34; 28.1°, I 100; 35.1°, I 38; 40.6°, I 29

Structure:
```
NaS2NO4F2
1.0
7.5850 0.0000 0.0000
0.0000 9.2710 0.0000
-2.6225 0.0000 8.7830
Na S N O F
4 8 4 16 8
Cartesian
0.7486 0.1486 3.8272 Na
-0.5626 4.4869 8.2187 Na
5.5252 4.7841 0.5643 Na
4.2139 9.1224 4.9558 Na
-0.6066 6.7378 5.4043 S
0.7046 7.1687 1.0128 S
1.6411 2.0650 6.7596 S
2.9524 2.5705 2.3681 S
2.0102 6.7005 6.4149 S
3.3214 7.2060 2.0234 S
4.2579 2.1023 7.7702 S
5.5692 2.5332 3.3787 S
2.1299 6.5111 1.2461 N
0.8186 7.3954 5.6376 N
4.1439 1.8756 3.1454 N
2.8327 2.7599 7.5369 N
-0.1327 6.1397 0.4590 O
-1.4439 7.7669 4.8505 O
-1.1226 5.9040 6.4517 O
0.1886 8.0025 2.0602 O
1.8708 1.6351 2.2757 O
0.5596 3.0004 6.6672 O
2.0104 1.3153 5.5792 O
3.3216 3.3202 1.1877 O
1.6409 5.9508 7.5953 O
2.9522 7.9557 3.2038 O
4.4029 6.2706 2.1158 O
3.0917 7.6359 6.5073 O
4.7739 1.2685 6.7228 O
6.0852 3.3670 2.3313 O
6.4064 1.5041 3.9325 O
5.0952 3.1314 8.3240 O
-0.3386 5.7332 4.1863 F
-1.6499 8.1734 8.5778 F
1.1285 0.9358 7.7785 F
2.4397 3.6997 3.3870 F
2.5228 5.5713 5.3960 F
3.8341 8.3352 1.0045 F
6.6124 1.0977 0.2052 F
5.3012 3.5379 4.5967 F
```

=====

Entry 3:
The following is a theoretical powder diffraction line list of NbNOF4. It was derived from a structure optimized by DFT (PBE), using a wavelength of 1.5418 Å.
Neutral-atom scattering factors, no anomalous dispersion.

Top 10 peaks for 2θ from 15° to 90°, low angle first:
15.6°, I 76; 22.1°, I 100; 27.2°, I 17; 31.5°, I 25; 35.3°, I 17; 42.0°, I 9; 45.1°, I 18; 50.7°, I 26; 50.9°, I 9; 56.0°, I 10

Structure:
```
NbNOF4
1.0
8.0495 0.0000 0.0000
0.0000 8.0495 0.0000
0.0000 0.0000 4.0117
Nb N O F
2 2 2 8
Cartesian
2.0124 2.0124 0.0337 Nb
6.0371 6.0371 3.9780 Nb
2.0124 6.0371 0.0000 N
6.0371 2.0124 0.0000 N
2.0124 2.0124 1.8266 O
6.0371 6.0371 2.1852 O
0.0584 2.0124 3.7866 F
2.0124 0.0584 3.7866 F
2.0124 3.9664 3.7866 F
3.9664 2.0124 3.7866 F
4.0831 6.0371 0.2252 F
6.0371 4.0831 0.2252 F
6.0371 7.9911 0.2252 F
7.9911 6.0371 0.2252 F
```

=====

Entry 4:
The following is a theoretical powder diffraction line list of Sr5NbN4F2. It was derived from a structure optimized by DFT (PBE), using a wavelength of 1.5418 Å.
Neutral-atom scattering factors, no anomalous dispersion.

Top 10 peaks for 2θ from 15° to 90°, low angle first:
29.1°, I 42; 29.4°, I 88; 29.7°, I 36; 30.1°, I 100; 42.1°, I 55; 51.8°, I 17; 52.2°, I 23; 53.4°, I 27; 58.5°, I 23; 74.3°, I 14

Structure:
```
Sr5NbN4F2
1.0
7.4496 0.0000 0.0000
0.0000 5.0978 3.0695
0.0000 -5.0978 3.0695
Sr Nb N F
5 1 4 2
Cartesian
0.0000 0.0000 0.0000 Sr
2.0355 -1.7982 3.0294 Sr
2.0355 1.7982 3.0294 Sr
5.4141 -1.7982 3.0294 Sr
5.4141 1.7982 3.0294 Sr
3.7248 0.0000 0.0249 Nb
2.1361 0.0000 1.2133 N
3.7248 -1.6388 5.0115 N
3.7248 1.6388 5.0115 N
5.3135 0.0000 1.2133 N
0.0000 -2.8124 1.8483 F
0.0000 2.8124 1.8483 F
```

=====

Entry 5:
The following is a theoretical powder diffraction line list of Nd3N2F. It was derived from a structure optimized by DFT (PBE), using a wavelength of 1.5418 Å.
Neutral-atom scattering factors, no anomalous dispersion.

Top 10 peaks for 2θ from 15° to 90°, low angle first:
27.4°, I 33; 27.5°, I 100; 28.3°, I 34; 30.6°, I 32; 34.1°, I 49; 36.8°, I 17; 41.5°, I 22; 47.1°, I 20; 48.2°, I 19; 59.6°, I 23

Structure:
```
Nd3N2F
1.0
1.7677 -6.2990 0.0000
1.7677 6.2990 0.0000
0.0000 0.0000 11.3403
Nd N F
6 4 2
Cartesian
1.7677 4.9529 6.6469 Nd
1.7677 4.9529 10.3635 Nd
1.7677 1.4285 8.5052 Nd
1.7677 -1.4285 2.8351 Nd
1.7677 -4.9529 0.9768 Nd
1.7677 -4.9529 4.6934 Nd
1.7677 6.2627 2.8351 N
1.7677 0.0000 0.0000 N
1.7677 0.0000 5.6701 N
1.7677 -6.2627 8.5052 N
1.7677 2.6620 2.8351 F
1.7677 -2.6620 8.5052 F
```

=====

Entry 6:
The following is a theoretical powder diffraction line list of NdN2F4. It was derived from a structure optimized by DFT (PBE), using a wavelength of 1.5418 Å.
Neutral-atom scattering factors, no anomalous dispersion.

Top 10 peaks for 2θ from 15° to 90°, low angle first:
21.0°, I 100; 23.3°, I 46; 25.8°, I 52; 27.2°, I 77; 35.5°, I 30; 36.8°, I 53; 40.9°, I 31; 43.1°, I 34; 44.9°, I 35; 48.1°, I 27

Structure:
```
NdN2F4
1.0
14.6796 0.0000 0.0000
0.0000 4.4149 0.0000
-0.1914 0.0000 3.8203
Nd N F
2 4 8
Cartesian
0.0000 0.0000 0.0000 Nd
7.3398 2.2074 0.0000 Nd
2.8414 2.2074 0.9188 N
4.3069 0.0000 2.9014 N
10.1812 0.0000 0.9188 N
11.6467 2.2074 2.9014 N
1.1299 2.2074 0.2478 F
1.2268 0.0000 2.0008 F
5.9216 2.2074 1.8194 F
6.0184 0.0000 3.5724 F
8.4697 0.0000 0.2478 F
8.5665 2.2074 2.0008 F
13.2614 0.0000 1.8194 F
13.3582 2.2074 3.5724 F
```